# 1
# CsNa2Zn2
Theoretical XRD peak list, a wavelength of 1.5418 Å. Input: a cell relaxed with GGA-PBE.
Neutral-atom scattering factors, no anomalous dispersion.

Crystal structure
```
data_CsNa2Zn2
_cell_length_a 9.5161
_cell_length_b 9.5161
_cell_length_c 3.6016
_cell_angle_alpha 90.00
_cell_angle_beta 90.00
_cell_angle_gamma 90.00
_symmetry_space_group_name_H-M 'P 4/m b m'
_symmetry_Int_Tables_number 127
_symmetry_space_group_name_Hall '-P 4 2ab'
loop_
_atom_site_label
_atom_site_fract_x
_atom_site_fract_y
_atom_site_fract_z
_atom_site_occupancy
Cs1 0.0000 0.0000 0.0000 1
Na1 0.1246 0.3754 0.0000 1
Zn1 0.1626 0.6626 0.5000 1
```

Peak list (10 most intense, 2θ from 10° to 90°, in order of falling intensity)
| hkl | 2θ (°) | I_rel |
| --- | --- | --- |
| 3 1 0 | 29.7 | 100 |
| 2 0 1 | 31.1 | 64 |
| 2 1 1 | 32.6 | 62 |
| 1 1 1 | 28.1 | 46 |
| 2 2 0 | 26.5 | 33 |
| 3 3 1 | 47.8 | 31 |
| 6 0 0 | 58.1 | 29 |
| 1 1 0 | 13.2 | 28 |
| 3 1 2 | 59.9 | 26 |
| 2 1 0 | 20.9 | 25 |

---

# 2
# AlHgI4
Theoretical XRD peak list, a wavelength of 1.5418 Å. Input: a cell relaxed with GGA-PBE.
Neutral-atom scattering factors, no anomalous dispersion.

Crystal structure
```
data_AlHgI4
_cell_length_a 6.1401
_cell_length_b 7.0690
_cell_length_c 7.6855
_cell_angle_alpha 114.07
_cell_angle_beta 109.29
_cell_angle_gamma 96.10
_symmetry_space_group_name_H-M 'P 1'
_symmetry_Int_Tables_number 1
_symmetry_space_group_name_Hall 'P 1'
loop_
_atom_site_label
_atom_site_fract_x
_atom_site_fract_y
_atom_site_fract_z
_atom_site_occupancy
Al1 0.0000 0.0000 0.0000 1
Hg1 0.5592 0.1580 0.7155 1
I1 0.0746 0.1451 0.7421 1
I2 0.3388 0.8830 0.1864 1
I3 0.6350 0.6704 0.7385 1
I4 0.9232 0.3213 0.2555 1
```

Peak list (10 most intense, 2θ from 10° to 90°, in order of falling intensity)
| hkl | 2θ (°) | I_rel |
| --- | --- | --- |
| 0 2 -1 | 25.3 | 100 |
| 2 0 -1 | 29.2 | 93 |
| 0 0 2 | 27.9 | 92 |
| 0 1 0 | 14.3 | 75 |
| 0 2 1 | 37.8 | 50 |
| 0 0 1 | 13.8 | 46 |
| 0 2 0 | 28.8 | 44 |
| 1 1 0 | 24.3 | 44 |
| 1 0 -1 | 16.3 | 43 |
| 2 2 -2 | 41.2 | 35 |

---

# 3
# TaSi2Os
Theoretical XRD peak list, a wavelength of 1.5418 Å. Input: a cell relaxed with GGA-PBE.
Neutral-atom scattering factors, no anomalous dispersion.

Crystal structure
```
data_TaSi2Os
_cell_length_a 3.0024
_cell_length_b 3.8168
_cell_length_c 10.6385
_cell_angle_alpha 90.00
_cell_angle_beta 90.00
_cell_angle_gamma 90.00
_symmetry_space_group_name_H-M 'I m m 2'
_symmetry_Int_Tables_number 44
_symmetry_space_group_name_Hall 'I 2 -2'
loop_
_atom_site_label
_atom_site_fract_x
_atom_site_fract_y
_atom_site_fract_z
_atom_site_occupancy
Ta1 0.0000 0.0000 0.0000 1
Si1 0.0000 0.0000 0.4197 1
Si2 0.0000 0.5000 0.1766 1
Os1 0.0000 0.5000 0.7383 1
```

Peak list (10 most intense, 2θ from 10° to 90°, in order of falling intensity)
| hkl | 2θ (°) | I_rel |
| --- | --- | --- |
| 1 1 2 | 41.9 | 100 |
| 0 1 1 | 24.8 | 65 |
| 0 0 4 | 33.7 | 35 |
| 1 0 1 | 30.9 | 31 |
| 1 0 3 | 39.3 | 29 |
| 0 1 3 | 34.5 | 26 |
| 0 1 5 | 49.0 | 21 |
| 0 2 0 | 47.7 | 19 |
| 1 1 6 | 65.9 | 16 |
| 1 2 3 | 63.4 | 14 |

---

# 4
# LiAl3Ag
Theoretical XRD peak list, a wavelength of 1.5418 Å. Input: a cell relaxed with GGA-PBE.
Neutral-atom scattering factors, no anomalous dispersion.

Crystal structure
```
data_LiAl3Ag
_cell_length_a 5.3734
_cell_length_b 5.3734
_cell_length_c 20.9689
_cell_angle_alpha 90.00
_cell_angle_beta 90.00
_cell_angle_gamma 120.00
_symmetry_space_group_name_H-M 'R -3 m'
_symmetry_Int_Tables_number 166
_symmetry_space_group_name_Hall '-R 3 2"'
loop_
_atom_site_label
_atom_site_fract_x
_atom_site_fract_y
_atom_site_fract_z
_atom_site_occupancy
Li1 0.0000 0.0000 0.1937 1
Al1 0.0022 0.5011 0.2419 1
Ag1 0.0000 0.0000 0.3136 1
```

Peak list (10 most intense, 2θ from 10° to 90°, in order of falling intensity)
| hkl | 2θ (°) | I_rel |
| --- | --- | --- |
| 0 0 3 | 12.7 | 100 |
| 1 1 3 | 35.8 | 72 |
| 2 0 2 | 39.7 | 65 |
| 0 1 5 | 28.7 | 64 |
| 1 1 6 | 42.5 | 62 |
| 0 1 8 | 39.5 | 51 |
| 0 1 2 | 20.9 | 39 |
| 1 1 0 | 33.3 | 33 |
| 1 0 1 | 19.5 | 30 |
| 1 2 8 | 63.7 | 23 |

---

# 5
# Ce6SeCl8
Theoretical XRD peak list, a wavelength of 1.5418 Å. Input: a cell relaxed with GGA-PBE.
Neutral-atom scattering factors, no anomalous dispersion.

Crystal structure
```
data_Ce6SeCl8
_cell_length_a 7.0257
_cell_length_b 7.0257
_cell_length_c 29.6551
_cell_angle_alpha 90.00
_cell_angle_beta 90.00
_cell_angle_gamma 120.00
_symmetry_space_group_name_H-M 'R -3'
_symmetry_Int_Tables_number 148
_symmetry_space_group_name_Hall '-R 3'
loop_
_atom_site_label
_atom_site_fract_x
_atom_site_fract_y
_atom_site_fract_z
_atom_site_occupancy
Ce1 0.0000 0.3417 0.4463 1
Se1 0.0000 0.0000 0.5000 1
Cl1 0.0000 0.0000 0.1667 1
Cl2 0.0001 0.3259 0.6101 1
```

Peak list (10 most intense, 2θ from 10° to 90°, in order of falling intensity)
| hkl | 2θ (°) | I_rel |
| --- | --- | --- |
| 1 1 6 | 31.2 | 100 |
| 2 -1 3 | 26.9 | 36 |
| 2 -1 12 | 44.8 | 33 |
| 3 0 0 | 44.7 | 32 |
| 4 -2 6 | 55.5 | 18 |
| 1 1 9 | 37.4 | 17 |
| 4 1 6 | 73.9 | 15 |
| 1 1 0 | 25.4 | 15 |
| 3 0 18 | 74.2 | 13 |
| 2 2 3 | 53.0 | 13 |

---

# 6
# PmSm3Tm4
Theoretical XRD peak list, a wavelength of 1.5418 Å. Input: a cell relaxed with GGA-PBE.
Neutral-atom scattering factors, no anomalous dispersion.

Crystal structure
```
data_PmSm3Tm4
_cell_length_a 6.1747
_cell_length_b 3.5677
_cell_length_c 11.7185
_cell_angle_alpha 90.00
_cell_angle_beta 100.16
_cell_angle_gamma 90.00
_symmetry_space_group_name_H-M 'P 1 2/m 1'
_symmetry_Int_Tables_number 10
_symmetry_space_group_name_Hall '-P 2y'
loop_
_atom_site_label
_atom_site_fract_x
_atom_site_fract_y
_atom_site_fract_z
_atom_site_occupancy
Pm1 0.0000 0.0000 0.0000 1
Sm1 0.0000 0.5000 0.5000 1
Sm2 0.5000 0.0000 0.5000 1
Sm3 0.5000 0.5000 0.0000 1
Tm1 0.2500 0.0000 0.7497 1
Tm2 0.2501 0.5000 0.2502 1
```

Peak list (10 most intense, 2θ from 10° to 90°, in order of falling intensity)
| hkl | 2θ (°) | I_rel |
| --- | --- | --- |
| 1 1 1 | 30.7 | 100 |
| 2 0 2 | 35.7 | 67 |
| 0 0 4 | 31.0 | 33 |
| 3 1 3 | 61.1 | 28 |
| 0 2 0 | 51.2 | 24 |
| 1 1 5 | 51.6 | 24 |
| 4 0 0 | 60.9 | 14 |
| 2 0 6 | 61.4 | 14 |
| 2 2 2 | 64.0 | 12 |
| 4 2 0 | 83.6 | 12 |

---

# 7
# RbNdMgTe3
Theoretical XRD peak list, a wavelength of 1.5418 Å. Input: a cell relaxed with GGA-PBE.
Neutral-atom scattering factors, no anomalous dispersion.

Crystal structure
```
data_RbNdMgTe3
_cell_length_a 10.0638
_cell_length_b 4.6213
_cell_length_c 10.9406
_cell_angle_alpha 90.00
_cell_angle_beta 108.15
_cell_angle_gamma 90.00
_symmetry_space_group_name_H-M 'P 1 21/m 1'
_symmetry_Int_Tables_number 11
_symmetry_space_group_name_Hall '-P 2yb'
loop_
_atom_site_label
_atom_site_fract_x
_atom_site_fract_y
_atom_site_fract_z
_atom_site_occupancy
Rb1 0.2095 0.2500 0.2351 1
Nd1 0.3285 0.7500 0.8649 1
Mg1 0.0837 0.2500 0.6077 1
Te1 0.1077 0.2500 0.8663 1
Te2 0.2079 0.7500 0.5383 1
Te3 0.4661 0.7500 0.1640 1
```

Peak list (10 most intense, 2θ from 10° to 90°, in order of falling intensity)
| hkl | 2θ (°) | I_rel |
| --- | --- | --- |
| 2 1 -1 | 26.3 | 100 |
| 1 0 -1 | 10.4 | 47 |
| 0 0 3 | 25.7 | 44 |
| 2 1 -4 | 39.1 | 35 |
| 2 1 0 | 26.8 | 31 |
| 0 2 0 | 39.0 | 26 |
| 3 1 2 | 42.4 | 24 |
| 1 0 3 | 30.0 | 18 |
| 2 1 2 | 35.1 | 16 |
| 0 2 3 | 47.3 | 15 |

---

# 8
# CaTlPb
Theoretical XRD peak list, a wavelength of 1.5418 Å. Input: a cell relaxed with GGA-PBE.
Neutral-atom scattering factors, no anomalous dispersion.

Crystal structure
```
data_CaTlPb
_cell_length_a 4.7107
_cell_length_b 4.8497
_cell_length_c 8.2582
_cell_angle_alpha 90.00
_cell_angle_beta 106.43
_cell_angle_gamma 90.00
_symmetry_space_group_name_H-M 'P 1 21/m 1'
_symmetry_Int_Tables_number 11
_symmetry_space_group_name_Hall '-P 2yb'
loop_
_atom_site_label
_atom_site_fract_x
_atom_site_fract_y
_atom_site_fract_z
_atom_site_occupancy
Ca1 0.0924 0.2500 0.1853 1
Tl1 0.2461 0.7500 0.4922 1
Pb1 0.4233 0.2500 0.8470 1
```

Peak list (10 most intense, 2θ from 10° to 90°, in order of falling intensity)
| hkl | 2θ (°) | I_rel |
| --- | --- | --- |
| 1 1 1 | 31.4 | 100 |
| 0 0 3 | 34.0 | 20 |
| 0 2 0 | 37.1 | 16 |
| 1 0 -1 | 19.7 | 15 |
| 2 0 -1 | 38.2 | 15 |
| 0 2 3 | 51.2 | 14 |
| 1 3 1 | 63.3 | 14 |
| 3 1 0 | 64.9 | 13 |
| 0 1 1 | 21.5 | 12 |
| 2 2 -1 | 54.3 | 11 |

---

# 9
# TbScHg4
Theoretical XRD peak list, a wavelength of 1.5418 Å. Input: a cell relaxed with GGA-PBE.
Neutral-atom scattering factors, no anomalous dispersion.

Crystal structure
```
data_TbScHg4
_cell_length_a 5.1071
_cell_length_b 3.8498
_cell_length_c 14.4319
_cell_angle_alpha 90.00
_cell_angle_beta 90.00
_cell_angle_gamma 90.00
_symmetry_space_group_name_H-M 'A m m 2'
_symmetry_Int_Tables_number 38
_symmetry_space_group_name_Hall 'A 2 -2'
loop_
_atom_site_label
_atom_site_fract_x
_atom_site_fract_y
_atom_site_fract_z
_atom_site_occupancy
Tb1 0.0000 0.0000 0.0000 1
Sc1 0.5000 0.0000 0.7931 1
Hg1 0.0000 0.0000 0.3294 1
Hg2 0.0000 0.0000 0.6687 1
Hg3 0.5000 0.0000 0.1323 1
Hg4 0.5000 0.0000 0.4565 1
```

Peak list (10 most intense, 2θ from 10° to 90°, in order of falling intensity)
| hkl | 2θ (°) | I_rel |
| --- | --- | --- |
| 1 1 3 | 34.6 | 100 |
| 2 0 0 | 35.1 | 28 |
| 3 1 3 | 62.7 | 27 |
| 0 1 3 | 29.7 | 16 |
| 1 0 6 | 41.5 | 15 |
| 0 0 6 | 37.4 | 13 |
| 0 2 0 | 47.2 | 12 |
| 2 2 0 | 60.2 | 12 |
| 2 0 6 | 52.2 | 10 |
| 2 1 9 | 74.0 | 10 |

---

# 10
# Zn3InBr9
Theoretical XRD peak list, a wavelength of 1.5418 Å. Input: a cell relaxed with GGA-PBE.
Neutral-atom scattering factors, no anomalous dispersion.

Crystal structure
```
data_Zn3InBr9
_cell_length_a 18.3505
_cell_length_b 9.3383
_cell_length_c 13.2294
_cell_angle_alpha 90.00
_cell_angle_beta 128.59
_cell_angle_gamma 90.00
_symmetry_space_group_name_H-M 'C 1 c 1'
_symmetry_Int_Tables_number 9
_symmetry_space_group_name_Hall 'C -2yc'
loop_
_atom_site_label
_atom_site_fract_x
_atom_site_fract_y
_atom_site_fract_z
_atom_site_occupancy
Zn1 0.0000 0.0635 0.0000 1
Zn2 0.1309 0.4277 0.9468 1
Zn3 0.4012 0.1175 0.6023 1
In1 0.2683 0.2278 0.7793 1
Br1 0.0157 0.2381 0.8744 1
Br2 0.0648 0.3703 0.2977 1
Br3 0.1282 0.0334 0.7118 1
Br4 0.1659 0.4630 0.6453 1
Br5 0.2636 0.3143 0.9777 1
Br6 0.2682 0.0808 0.5993 1
Br7 0.3755 0.3514 0.5031 1
Br8 0.4074 0.0565 0.9692 1
Br9 0.4195 0.3757 0.8333 1
```

Peak list (10 most intense, 2θ from 10° to 90°, in order of falling intensity)
| hkl | 2θ (°) | I_rel |
| --- | --- | --- |
| 1 1 1 | 16.4 | 100 |
| 2 2 -3 | 28.1 | 65 |
| 5 1 -2 | 26.2 | 52 |
| 2 0 2 | 26.8 | 34 |
| 3 1 -2 | 18.2 | 32 |
| 7 1 -1 | 40.3 | 30 |
| 1 3 3 | 42.1 | 29 |
| 4 2 0 | 31.5 | 28 |
| 3 1 -4 | 28.8 | 25 |
| 3 1 -3 | 22.4 | 25 |